No. 1
Computed powder X-ray diffraction pattern
Compound: Tb2Si3Au5
Radiation: Cu Ka
Structure: a GGA-PBE-relaxed structure
No peak broadening, texture or thermal motion is included.

Principal peaks in the range 2θ from 15° to 90°, sorted by position:
2θ 30.1, d 2.967, I 26; 2θ 32.7, d 2.739, I 36; 2θ 34.3, d 2.613, I 100; 2θ 35.2, d 2.551, I 74; 2θ 38.9, d 2.313, I 46; 2θ 40.9, d 2.207, I 32; 2θ 41.2, d 2.192, I 49; 2θ 59.4, d 1.555, I 25; 2θ 67.0, d 1.397, I 21; 2θ 70.7, d 1.333, I 20

Structure:
```
data_Tb2Si3Au5
_chemical_formula_sum 'Tb4 Si6 Au10'
_cell_length_a 12.435
_cell_length_b 12.435
_cell_length_c 7.098
_cell_angle_alpha 90.00
_cell_angle_beta 90.00
_cell_angle_gamma 159.70
_symmetry_space_group_name_H-M 'P 1'
_symmetry_Int_Tables_number 1
_symmetry_space_group_name_Hall 'P 1'
loop_
_atom_site_label
_atom_site_fract_x
_atom_site_fract_y
_atom_site_fract_z
Tb1 0.020 0.980 0.500
Tb2 0.326 0.674 0.521
Tb3 0.674 0.326 0.021
Tb4 0.980 0.020 0.000
Si1 0.105 0.895 0.195
Si2 0.271 0.729 0.056
Si3 0.452 0.548 0.293
Si4 0.548 0.452 0.793
Si5 0.729 0.271 0.556
Si6 0.895 0.105 0.695
Au1 0.100 0.900 0.838
Au2 0.196 0.804 0.347
Au3 0.218 0.782 0.751
Au4 0.376 0.624 0.043
Au5 0.447 0.553 0.695
Au6 0.553 0.447 0.195
Au7 0.624 0.376 0.543
Au8 0.782 0.218 0.251
Au9 0.804 0.196 0.847
Au10 0.900 0.100 0.338
```



No. 2
Computed powder X-ray diffraction pattern
Compound: VFeP
Radiation: Cu Ka
Structure: a GGA-PBE-relaxed structure
No peak broadening, texture or thermal motion is included.

Principal peaks in the range 2θ from 15° to 90°, sorted by position:
2θ 40.1, d 2.249, I 44; 2θ 40.4, d 2.233, I 100; 2θ 42.4, d 2.131, I 81; 2θ 43.4, d 2.084, I 30; 2θ 48.4, d 1.880, I 75; 2θ 51.1, d 1.789, I 21; 2θ 52.4, d 1.745, I 43; 2θ 54.2, d 1.691, I 16; 2θ 74.1, d 1.279, I 18; 2θ 80.4, d 1.195, I 21

Structure:
```
data_VFeP
_chemical_formula_sum 'V4 Fe4 P4'
_cell_length_a 5.881
_cell_length_b 3.489
_cell_length_c 6.685
_cell_angle_alpha 90.00
_cell_angle_beta 90.00
_cell_angle_gamma 90.00
_symmetry_space_group_name_H-M 'P 1'
_symmetry_Int_Tables_number 1
_symmetry_space_group_name_Hall 'P 1'
loop_
_atom_site_label
_atom_site_fract_x
_atom_site_fract_y
_atom_site_fract_z
V1 0.025 0.250 0.174
V2 0.475 0.750 0.674
V3 0.525 0.250 0.326
V4 0.975 0.750 0.826
Fe1 0.144 0.250 0.562
Fe2 0.356 0.750 0.062
Fe3 0.644 0.250 0.938
Fe4 0.856 0.750 0.438
P1 0.230 0.750 0.376
P2 0.270 0.250 0.876
P3 0.730 0.750 0.124
P4 0.770 0.250 0.624
```



No. 3
Computed powder X-ray diffraction pattern
Compound: Sc4SnSb
Radiation: Cu Ka
Structure: a GGA-PBE-relaxed structure
No peak broadening, texture or thermal motion is included.

Principal peaks in the range 2θ from 15° to 90°, sorted by position:
2θ 22.6, d 3.929, I 100; 2θ 37.3, d 2.411, I 83; 2θ 37.5, d 2.397, I 41; 2θ 43.9, d 2.063, I 18; 2θ 44.3, d 2.046, I 34; 2θ 54.1, d 1.695, I 14; 2θ 59.1, d 1.564, I 15; 2θ 67.1, d 1.394, I 14; 2θ 67.6, d 1.387, I 27; 2θ 79.5, d 1.205, I 9

Structure:
```
data_Sc4SnSb
_chemical_formula_sum 'Sc8 Sn2 Sb2'
_cell_length_a 8.367
_cell_length_b 8.367
_cell_length_c 8.367
_cell_angle_alpha 132.20
_cell_angle_beta 132.20
_cell_angle_gamma 69.92
_symmetry_space_group_name_H-M 'P 1'
_symmetry_Int_Tables_number 1
_symmetry_space_group_name_Hall 'P 1'
loop_
_atom_site_label
_atom_site_fract_x
_atom_site_fract_y
_atom_site_fract_z
Sc1 0.000 0.249 0.249
Sc2 0.000 0.751 0.751
Sc3 0.249 0.000 0.749
Sc4 0.249 0.500 0.249
Sc5 0.500 0.249 0.749
Sc6 0.500 0.751 0.251
Sc7 0.751 0.000 0.251
Sc8 0.751 0.500 0.751
Sn1 0.125 0.875 0.250
Sn2 0.875 0.125 0.750
Sb1 0.375 0.625 0.750
Sb2 0.625 0.375 0.250
```



No. 4
Computed powder X-ray diffraction pattern
Compound: PdSeCl3
Radiation: Cu Ka
Structure: a GGA-PBE-relaxed structure
No peak broadening, texture or thermal motion is included.

Principal peaks in the range 2θ from 15° to 90°, sorted by position:
2θ 18.8, d 4.721, I 100; 2θ 22.2, d 4.002, I 54; 2θ 26.9, d 3.320, I 57; 2θ 31.7, d 2.825, I 72; 2θ 32.3, d 2.772, I 88; 2θ 34.9, d 2.571, I 36; 2θ 36.6, d 2.454, I 49; 2θ 40.1, d 2.251, I 42; 2θ 40.9, d 2.208, I 42; 2θ 47.7, d 1.908, I 41

Structure:
```
data_PdSeCl3
_chemical_formula_sum 'Pd4 Se4 Cl12'
_cell_length_a 6.834
_cell_length_b 7.887
_cell_length_c 12.309
_cell_angle_alpha 90.00
_cell_angle_beta 91.79
_cell_angle_gamma 90.00
_symmetry_space_group_name_H-M 'P 1'
_symmetry_Int_Tables_number 1
_symmetry_space_group_name_Hall 'P 1'
loop_
_atom_site_label
_atom_site_fract_x
_atom_site_fract_y
_atom_site_fract_z
Pd1 0.056 0.141 0.115
Pd2 0.056 0.859 0.615
Pd3 0.944 0.141 0.385
Pd4 0.944 0.859 0.885
Se1 0.043 0.444 0.336
Se2 0.043 0.556 0.836
Se3 0.957 0.444 0.164
Se4 0.957 0.556 0.664
Cl1 0.125 0.177 0.547
Cl2 0.125 0.823 0.047
Cl3 0.226 0.066 0.282
Cl4 0.226 0.934 0.782
Cl5 0.328 0.248 0.034
Cl6 0.328 0.752 0.534
Cl7 0.672 0.248 0.466
Cl8 0.672 0.752 0.966
Cl9 0.774 0.066 0.218
Cl10 0.774 0.934 0.718
Cl11 0.875 0.177 0.953
Cl12 0.875 0.823 0.453
```



No. 5
Computed powder X-ray diffraction pattern
Compound: Ca2TbCd2
Radiation: Cu Ka
Structure: a GGA-PBE-relaxed structure
No peak broadening, texture or thermal motion is included.

Principal peaks in the range 2θ from 15° to 90°, sorted by position:
2θ 29.1, d 3.068, I 31; 2θ 31.0, d 2.880, I 73; 2θ 34.1, d 2.632, I 100; 2θ 34.4, d 2.604, I 69; 2θ 37.1, d 2.425, I 34; 2θ 40.9, d 2.205, I 15; 2θ 57.7, d 1.598, I 26; 2θ 59.4, d 1.555, I 22; 2θ 60.2, d 1.537, I 26; 2θ 63.3, d 1.469, I 14

Structure:
```
data_Ca2TbCd2
_chemical_formula_sum 'Ca4 Tb2 Cd4'
_cell_length_a 3.807
_cell_length_b 22.027
_cell_length_c 3.694
_cell_angle_alpha 90.00
_cell_angle_beta 90.00
_cell_angle_gamma 90.00
_symmetry_space_group_name_H-M 'P 1'
_symmetry_Int_Tables_number 1
_symmetry_space_group_name_Hall 'P 1'
loop_
_atom_site_label
_atom_site_fract_x
_atom_site_fract_y
_atom_site_fract_z
Ca1 0.000 0.174 0.000
Ca2 0.000 0.826 0.000
Ca3 0.500 0.326 0.000
Ca4 0.500 0.674 0.000
Tb1 0.000 0.000 0.000
Tb2 0.500 0.500 0.000
Cd1 0.000 0.415 0.500
Cd2 0.000 0.585 0.500
Cd3 0.500 0.085 0.500
Cd4 0.500 0.915 0.500
```



No. 6
Computed powder X-ray diffraction pattern
Compound: HoMnTl2S4
Radiation: Cu Ka
Structure: a GGA-PBE-relaxed structure
No peak broadening, texture or thermal motion is included.

Principal peaks in the range 2θ from 15° to 90°, sorted by position:
2θ 26.8, d 3.321, I 44; 2θ 27.0, d 3.301, I 42; 2θ 31.2, d 2.868, I 100; 2θ 44.7, d 2.027, I 47; 2θ 44.9, d 2.020, I 12; 2θ 52.8, d 1.734, I 16; 2θ 53.0, d 1.728, I 16; 2θ 53.1, d 1.726, I 15; 2θ 55.7, d 1.651, I 12; 2θ 73.9, d 1.282, I 19

Structure:
```
data_HoMnTl2S4
_chemical_formula_sum 'Ho2 Mn2 Tl4 S8'
_cell_length_a 8.109
_cell_length_b 8.109
_cell_length_c 8.109
_cell_angle_alpha 120.25
_cell_angle_beta 119.65
_cell_angle_gamma 90.09
_symmetry_space_group_name_H-M 'P 1'
_symmetry_Int_Tables_number 1
_symmetry_space_group_name_Hall 'P 1'
loop_
_atom_site_label
_atom_site_fract_x
_atom_site_fract_y
_atom_site_fract_z
Ho1 0.000 0.000 0.000
Ho2 0.500 0.000 0.500
Mn1 0.500 0.000 0.000
Mn2 0.500 0.500 0.500
Tl1 0.000 0.000 0.500
Tl2 0.000 0.500 0.000
Tl3 0.000 0.500 0.500
Tl4 0.500 0.500 0.000
S1 0.273 0.246 0.473
S2 0.273 0.800 0.027
S3 0.284 0.238 0.045
S4 0.307 0.762 0.545
S5 0.693 0.238 0.455
S6 0.716 0.762 0.955
S7 0.727 0.200 0.973
S8 0.727 0.754 0.527
```



No. 7
Computed powder X-ray diffraction pattern
Compound: TlCrBi2
Radiation: Cu Ka
Structure: a GGA-PBE-relaxed structure
No peak broadening, texture or thermal motion is included.

Principal peaks in the range 2θ from 15° to 90°, sorted by position:
2θ 20.3, d 4.382, I 10; 2θ 23.4, d 3.795, I 7; 2θ 33.4, d 2.683, I 100; 2θ 39.4, d 2.288, I 6; 2θ 47.9, d 1.897, I 18; 2θ 54.0, d 1.697, I 3; 2θ 59.7, d 1.549, I 39; 2θ 70.1, d 1.342, I 12; 2θ 79.9, d 1.200, I 17; 2θ 89.5, d 1.095, I 5

Structure:
```
data_TlCrBi2
_chemical_formula_sum 'Tl4 Cr4 Bi8'
_cell_length_a 7.590
_cell_length_b 7.590
_cell_length_c 7.590
_cell_angle_alpha 90.00
_cell_angle_beta 90.00
_cell_angle_gamma 90.00
_symmetry_space_group_name_H-M 'P 1'
_symmetry_Int_Tables_number 1
_symmetry_space_group_name_Hall 'P 1'
loop_
_atom_site_label
_atom_site_fract_x
_atom_site_fract_y
_atom_site_fract_z
Tl1 0.000 0.000 0.000
Tl2 0.000 0.500 0.500
Tl3 0.500 0.000 0.500
Tl4 0.500 0.500 0.000
Cr1 0.000 0.000 0.500
Cr2 0.000 0.500 0.000
Cr3 0.500 0.000 0.000
Cr4 0.500 0.500 0.500
Bi1 0.250 0.250 0.250
Bi2 0.250 0.250 0.750
Bi3 0.250 0.750 0.250
Bi4 0.250 0.750 0.750
Bi5 0.750 0.250 0.250
Bi6 0.750 0.250 0.750
Bi7 0.750 0.750 0.250
Bi8 0.750 0.750 0.750
```